[1]
The following is a theoretical powder diffractogram of AlNiO3. It was derived from a crystal structure in the Materials Project, relaxed with PBE+U, using Cu Kα (weighted mean of Kα1 and Kα2).
Lines closer than 0.1° are merged.

Unit cell a=3.1106 b=3.1106 c=11.1539 alpha=90.00 beta=90.00 gamma=120.00
Space group P6_3/mmc (No. 194)
Unique sites:
Al: 0.0000 0.0000 0.0000 (multiplicity 2)
Ni: 0.3333 0.6667 0.2500 (multiplicity 2)
O: 0.0000 0.0000 0.2500 (multiplicity 2)
O: 0.3333 0.6667 0.0798 (multiplicity 4)

Most intense lines, 2θ = 10–80°, by intensity:
hkl  2theta  I_rel
1 0 1  34.24  100
0 0 4  32.10  36
1 1 0  59.43  34
0 0 2  15.89  28
1 0 5  53.32  27
1 1 4  69.16  21

=====

[2]
The following is a theoretical powder diffractogram of LiCo2OF3. It was derived from a crystal structure in the Materials Project, relaxed with PBE+U, using Cu Kα (weighted mean of Kα1 and Kα2).
Lines closer than 0.1° are merged.

Unit cell a=6.115 b=6.158 c=8.511 alpha=89.86 beta=89.92 gamma=89.09
Space group P1 (No. 1)
Unique sites:
Li: 0.000 0.000 0.000 (multiplicity 1)
Li: 0.013 0.511 0.492 (multiplicity 1)
Li: 0.251 0.246 0.742 (multiplicity 1)
Li: 0.760 0.239 0.252 (multiplicity 1)
Co: 0.253 0.750 0.731 (multiplicity 1)
Co: 0.255 0.486 0.118 (multiplicity 1)
Co: 0.284 0.986 0.375 (multiplicity 1)
Co: 0.511 0.519 0.498 (multiplicity 1)
Co: 0.525 0.991 0.009 (multiplicity 1)
Co: 0.755 0.767 0.251 (multiplicity 1)
Co: 0.763 0.978 0.603 (multiplicity 1)
Co: 0.767 0.523 0.889 (multiplicity 1)
O: 0.264 0.729 0.507 (multiplicity 1)
O: 0.531 0.015 0.238 (multiplicity 1)
O: 0.757 0.724 0.482 (multiplicity 1)
O: 0.768 0.775 0.011 (multiplicity 1)
F: 0.008 0.014 0.243 (multiplicity 1)
F: 0.024 0.004 0.749 (multiplicity 1)
F: 0.030 0.494 0.747 (multiplicity 1)
F: 0.257 0.752 0.981 (multiplicity 1)
F: 0.263 0.227 0.983 (multiplicity 1)
F: 0.271 0.267 0.510 (multiplicity 1)
F: 0.493 0.490 0.756 (multiplicity 1)
F: 0.496 0.000 0.756 (multiplicity 1)
F: 0.523 0.493 0.241 (multiplicity 1)
F: 0.756 0.266 0.495 (multiplicity 1)
F: 0.775 0.242 0.001 (multiplicity 1)
F: 0.996 0.488 0.250 (multiplicity 1)

Most intense lines, 2θ = 10–80°, by intensity:
hkl  2theta  I_rel
1 0 -3  34.85  100
2 1 1  34.20  54
4 0 0  60.61  53
1 1 2  29.23  53
-1 1 2  29.52  52
2 -1 1  34.61  51

=====

[3]
The following is a theoretical powder diffractogram of Fe7Si3H8O18. It was derived from a crystal structure in the Materials Project, relaxed with PBE+U, using Cu Kα (weighted mean of Kα1 and Kα2).
Lines closer than 0.1° are merged.

Unit cell a=5.529 b=9.068 c=9.167 alpha=63.89 beta=73.03 gamma=72.95
Space group P1 (No. 1)
Unique sites:
Fe: 0.000 0.000 0.000 (multiplicity 1)
Fe: 0.001 0.664 0.329 (multiplicity 1)
Fe: 0.489 0.172 0.830 (multiplicity 1)
Fe: 0.497 0.502 0.494 (multiplicity 1)
Fe: 0.502 0.834 0.162 (multiplicity 1)
Fe: 0.957 0.368 0.034 (multiplicity 1)
Fe: 0.997 0.337 0.664 (multiplicity 1)
Si: 0.455 0.539 0.854 (multiplicity 1)
Si: 0.480 0.858 0.523 (multiplicity 1)
Si: 0.978 0.021 0.368 (multiplicity 1)
H: 0.029 0.636 0.644 (multiplicity 1)
H: 0.467 0.871 0.850 (multiplicity 1)
H: 0.475 0.547 0.177 (multiplicity 1)
H: 0.496 0.181 0.540 (multiplicity 1)
H: 0.512 0.155 0.125 (multiplicity 1)
H: 0.943 0.355 0.370 (multiplicity 1)
H: 0.954 0.042 0.689 (multiplicity 1)
H: 0.987 0.697 0.027 (multiplicity 1)
O: 0.083 0.913 0.252 (multiplicity 1)
O: 0.090 0.572 0.574 (multiplicity 1)
O: 0.108 0.237 0.906 (multiplicity 1)
O: 0.152 0.539 0.943 (multiplicity 1)
O: 0.177 0.962 0.502 (multiplicity 1)
O: 0.408 0.600 0.257 (multiplicity 1)
O: 0.412 0.939 0.917 (multiplicity 1)
O: 0.413 0.253 0.602 (multiplicity 1)
O: 0.475 0.737 0.721 (multiplicity 1)
O: 0.564 0.413 0.753 (multiplicity 1)
O: 0.582 0.085 0.061 (multiplicity 1)
O: 0.586 0.751 0.408 (multiplicity 1)
O: 0.622 0.483 0.997 (multiplicity 1)
O: 0.678 0.988 0.476 (multiplicity 1)
O: 0.879 0.104 0.761 (multiplicity 1)
O: 0.897 0.430 0.429 (multiplicity 1)
O: 0.907 0.768 0.092 (multiplicity 1)
O: 0.959 0.221 0.262 (multiplicity 1)

Most intense lines, 2θ = 10–80°, by intensity:
hkl  2theta  I_rel
0 1 1  12.19  100
2 0 0  34.52  71
0 2 2  24.52  52
1 3 0  34.78  33
1 1 4  40.77  21
1 4 1  41.28  17

=====

[4]
The following is a theoretical powder diffractogram of KCoO2. It was derived from a crystal structure in the Materials Project, relaxed with PBE+U, using Cu Kα (weighted mean of Kα1 and Kα2).
Lines closer than 0.1° are merged.

Unit cell a=5.712 b=5.712 c=7.663 alpha=90.00 beta=90.00 gamma=90.00
Space group I-4 (No. 82)
Unique sites:
K: 0.000 0.000 0.000 (multiplicity 2)
K: 0.000 0.500 0.250 (multiplicity 2)
Co: 0.000 0.000 0.500 (multiplicity 2)
Co: 0.000 0.500 0.750 (multiplicity 2)
O: 0.122 0.261 0.613 (multiplicity 8)

Most intense lines, 2θ = 10–80°, by intensity:
hkl  2theta  I_rel
1 1 2  32.20  100
2 0 0  31.32  37
1 3 2  56.31  34
1 0 1  19.38  24
2 0 4  57.97  20
2 2 0  44.89  17

=====

[5]
The following is a theoretical powder diffractogram of NaUVO6. It was derived from a crystal structure in the Materials Project, relaxed with PBE+U, using Cu Kα (weighted mean of Kα1 and Kα2).
Lines closer than 0.1° are merged.

Unit cell a=6.270 b=8.409 c=10.486 alpha=90.00 beta=99.05 gamma=90.00
Space group P2_1/c (No. 14)
Unique sites:
Na: 0.034 0.207 0.323 (multiplicity 4)
U: 0.486 0.020 0.182 (multiplicity 4)
V: 0.371 0.648 0.955 (multiplicity 4)
O: 0.120 0.639 0.978 (multiplicity 4)
O: 0.203 0.080 0.145 (multiplicity 4)
O: 0.230 0.040 0.774 (multiplicity 4)
O: 0.381 0.711 0.786 (multiplicity 4)
O: 0.443 0.064 0.396 (multiplicity 4)
O: 0.458 0.652 0.508 (multiplicity 4)

Most intense lines, 2θ = 10–80°, by intensity:
hkl  2theta  I_rel
1 0 0  14.30  100
1 1 -3  29.58  48
1 2 0  25.61  36
0 1 3  27.94  35
0 2 0  21.13  22
2 0 0  28.84  16

=====

[6]
The following is a theoretical powder diffractogram of LiMn3Al2H6O12. It was derived from a crystal structure in the Materials Project, relaxed with PBE+U, using Cu Kα (weighted mean of Kα1 and Kα2).
Lines closer than 0.1° are merged.

Unit cell a=5.104 b=8.967 c=19.142 alpha=90.00 beta=95.40 gamma=90.00
Space group Cc (No. 9)
Unique sites:
Li: 0.000 0.083 0.000 (multiplicity 4)
Mn: 0.248 0.085 0.750 (multiplicity 4)
Mn: 0.250 0.417 0.750 (multiplicity 4)
Mn: 0.252 0.251 0.250 (multiplicity 4)
Al: 0.000 0.250 0.500 (multiplicity 4)
Al: 0.001 0.417 0.000 (multiplicity 4)
H: 0.117 0.416 0.397 (multiplicity 4)
H: 0.136 0.255 0.897 (multiplicity 4)
H: 0.139 0.091 0.397 (multiplicity 4)
H: 0.362 0.241 0.603 (multiplicity 4)
H: 0.363 0.406 0.103 (multiplicity 4)
H: 0.383 0.083 0.103 (multiplicity 4)
O: 0.090 0.235 0.804 (multiplicity 4)
O: 0.099 0.411 0.301 (multiplicity 4)
O: 0.102 0.083 0.300 (multiplicity 4)
O: 0.119 0.417 0.448 (multiplicity 4)
O: 0.164 0.099 0.448 (multiplicity 4)
O: 0.164 0.266 0.948 (multiplicity 4)
O: 0.337 0.235 0.552 (multiplicity 4)
O: 0.338 0.402 0.052 (multiplicity 4)
O: 0.381 0.083 0.052 (multiplicity 4)
O: 0.399 0.084 0.200 (multiplicity 4)
O: 0.402 0.244 0.699 (multiplicity 4)
O: 0.411 0.402 0.196 (multiplicity 4)

Most intense lines, 2θ = 10–80°, by intensity:
hkl  2theta  I_rel
0 0 4  18.62  100
1 3 -3  37.02  39
1 3 -7  47.41  33
2 0 2  37.48  18
2 0 6  47.91  16
2 0 -10  57.66  14

=====

[7]
The following is a theoretical powder diffractogram of LiVOF2. It was derived from a crystal structure in the Materials Project, relaxed with PBE+U, using Cu Kα (weighted mean of Kα1 and Kα2).
Lines closer than 0.1° are merged.

Unit cell a=5.395 b=8.956 c=9.815 alpha=90.08 beta=98.56 gamma=90.01
Space group P1 (No. 1)
Unique sites:
Li: 0.000 0.000 0.000 (multiplicity 1)
Li: 0.011 0.508 0.482 (multiplicity 1)
Li: 0.133 0.003 0.373 (multiplicity 1)
Li: 0.147 0.505 0.857 (multiplicity 1)
Li: 0.497 0.821 0.988 (multiplicity 1)
Li: 0.512 0.330 0.482 (multiplicity 1)
Li: 0.634 0.821 0.373 (multiplicity 1)
Li: 0.649 0.329 0.858 (multiplicity 1)
V: 0.077 0.317 0.193 (multiplicity 1)
V: 0.078 0.176 0.668 (multiplicity 1)
V: 0.084 0.814 0.665 (multiplicity 1)
V: 0.091 0.674 0.191 (multiplicity 1)
V: 0.557 0.657 0.669 (multiplicity 1)
V: 0.562 0.988 0.679 (multiplicity 1)
V: 0.578 0.508 0.192 (multiplicity 1)
V: 0.590 0.150 0.191 (multiplicity 1)
O: 0.203 0.004 0.581 (multiplicity 1)
O: 0.228 0.663 0.570 (multiplicity 1)
O: 0.424 0.833 0.785 (multiplicity 1)
O: 0.428 0.661 0.280 (multiplicity 1)
O: 0.448 0.326 0.276 (multiplicity 1)
O: 0.717 0.830 0.581 (multiplicity 1)
O: 0.926 0.165 0.282 (multiplicity 1)
O: 0.948 0.498 0.275 (multiplicity 1)
F: 0.170 0.821 0.050 (multiplicity 1)
F: 0.189 0.325 0.548 (multiplicity 1)
F: 0.213 0.498 0.062 (multiplicity 1)
F: 0.219 0.164 0.069 (multiplicity 1)
F: 0.436 0.168 0.782 (multiplicity 1)
F: 0.458 0.001 0.313 (multiplicity 1)
F: 0.474 0.504 0.807 (multiplicity 1)
F: 0.668 0.003 0.049 (multiplicity 1)
F: 0.697 0.497 0.552 (multiplicity 1)
F: 0.714 0.162 0.577 (multiplicity 1)
F: 0.714 0.325 0.061 (multiplicity 1)
F: 0.720 0.660 0.069 (multiplicity 1)
F: 0.928 0.660 0.787 (multiplicity 1)
F: 0.937 0.008 0.794 (multiplicity 1)
F: 0.956 0.827 0.309 (multiplicity 1)
F: 0.976 0.320 0.805 (multiplicity 1)

Most intense lines, 2θ = 10–80°, by intensity:
hkl  2theta  I_rel
0 0 2  18.28  100
1 3 -3  42.96  61
0 1 -1  13.45  48
2 0 2  40.97  35
-1 3 1  35.01  34
-3 3 1  60.09  23

=====

[8]
The following is a theoretical powder diffractogram of MnOF. It was derived from a crystal structure in the Materials Project, relaxed with PBE+U, using Cu Kα (weighted mean of Kα1 and Kα2).
Lines closer than 0.1° are merged.

Unit cell a=4.652 b=4.614 c=9.532 alpha=90.00 beta=90.91 gamma=90.00
Space group P2_1 (No. 4)
Unique sites:
Mn: 0.215 0.000 0.252 (multiplicity 2)
Mn: 0.220 0.000 0.915 (multiplicity 2)
Mn: 0.282 0.051 0.583 (multiplicity 2)
O: 0.045 0.188 0.089 (multiplicity 2)
O: 0.083 0.203 0.748 (multiplicity 2)
O: 0.428 0.851 0.417 (multiplicity 2)
F: 0.023 0.249 0.416 (multiplicity 2)
F: 0.447 0.788 0.074 (multiplicity 2)
F: 0.481 0.803 0.755 (multiplicity 2)

Most intense lines, 2θ = 10–80°, by intensity:
hkl  2theta  I_rel
1 1 0  27.22  100
0 1 3  34.27  32
1 2 3  53.02  29
2 2 0  56.16  17
1 0 -3  33.92  17
1 0 3  34.44  15